# PmNd8Ho3
Theoretical PXRD pattern, a wavelength of 1.5418 Å. Input: a cell relaxed with GGA-PBE.
Peak positions follow from Bragg's law for the DFT cell and can differ from measured ones.

Crystal structure
```
12
Lattice="6.3473 0.0000 0.0000 -0.0058 7.3418 0.0000 -1.0530 -1.8493 8.8122" Properties=species:S:1:pos:R:3 pbc="T T T"
Pm 0.0000 0.0000 0.0000
Nd -0.0162 3.6595 5.8650
Nd 0.0036 -0.0053 5.8674
Nd 2.1130 3.6524 2.9208
Nd 2.1169 -0.0076 2.9232
Nd 2.1276 3.6514 8.7939
Nd 3.1812 5.5081 5.8701
Nd 5.2689 1.8197 2.9198
Nd 5.2788 1.8165 8.8110
Ho 2.1213 -0.0089 8.7854
Ho 3.1739 1.8190 5.8840
Ho 5.2892 5.4994 2.9095
```

Peak list (10 most intense, 2θ from 10° to 80°, sorted by position)
d_spacing, 2θ (°), I (rel.)
3.154, 28.3, 36
2.937, 30.4, 50
2.863, 31.2, 100
2.723, 32.9, 86
2.290, 39.3, 16
1.834, 49.7, 38
1.713, 53.5, 22
1.623, 56.7, 18
1.556, 59.4, 22
1.555, 59.5, 22



# Y4MgSb
Theoretical PXRD pattern, a wavelength of 1.5418 Å. Input: a cell relaxed with GGA-PBE.
Peak positions follow from Bragg's law for the DFT cell and can differ from measured ones.

Crystal structure
```
6
Lattice="0.0000 4.5134 4.5134 4.5134 0.0000 4.5134 4.5134 4.5134 0.0000" Properties=species:S:1:pos:R:3 pbc="T T T"
Y 1.1273 1.1273 1.1273
Y 3.3862 3.3862 1.1273
Y 3.3862 1.1273 3.3862
Y 1.1273 3.3862 3.3862
Mg 6.7701 6.7701 6.7701
Sb 4.5134 4.5134 4.5134
```

Peak list (10 most intense, 2θ from 10° to 80°, sorted by position)
d_spacing, 2θ (°), I (rel.)
5.212, 17.0, 21
4.513, 19.7, 10
3.191, 28.0, 19
2.722, 32.9, 100
2.606, 34.4, 48
2.257, 40.0, 8
1.737, 52.7, 34
1.596, 57.8, 29
1.377, 68.1, 12
1.361, 69.0, 18



# Ac4HoIr3
Theoretical PXRD pattern, a wavelength of 1.5418 Å. Input: a cell relaxed with GGA-PBE.
Peak positions follow from Bragg's law for the DFT cell and can differ from measured ones.

Crystal structure
```
16
Lattice="7.0796 -3.7441 0.0000 7.0796 3.7441 0.0000 -4.3910 0.0000 10.0779" Properties=species:S:1:pos:R:3 pbc="T T T"
Ac 0.8811 1.2440 4.2298
Ac 4.8841 2.5308 5.0390
Ac -1.3144 -1.2440 9.2688
Ac 7.5004 1.2967 2.0558
Ac 8.5456 1.3012 6.0991
Ac 5.3049 -1.2967 7.0948
Ac 7.0796 -2.5308 0.0000
Ac 10.7411 -1.3012 1.0601
Ho 2.1572 1.3032 8.1112
Ho 4.3527 -1.3032 3.0723
Ir 0.0053 0.0210 6.8448
Ir 2.2008 -0.0210 1.8059
Ir 6.3464 -0.0024 4.5456
Ir 4.1509 0.0024 9.5846
Ir 12.8691 0.1044 2.4731
Ir 10.6736 -0.1044 7.5121
```

Peak list (10 most intense, 2θ from 10° to 80°, sorted by position)
d_spacing, 2θ (°), I (rel.)
6.489, 13.6, 42
3.284, 27.2, 97
3.261, 27.4, 100
3.172, 28.1, 96
2.536, 35.4, 71
2.524, 35.6, 88
2.453, 36.6, 64
2.142, 42.2, 97
2.085, 43.4, 42
1.349, 69.7, 28



# La3Cu
Theoretical PXRD pattern, a wavelength of 1.5418 Å. Input: a cell relaxed with GGA-PBE.
Peak positions follow from Bragg's law for the DFT cell and can differ from measured ones.

Crystal structure
```
16
Lattice="7.1971 0.0000 0.0000 0.0000 10.4492 0.0000 0.0000 0.0000 6.6709" Properties=species:S:1:pos:R:3 pbc="T T T"
La 0.1816 2.6123 0.9767
La 1.3814 0.6083 4.4386
La 1.3814 4.6163 4.4386
La 2.2172 5.8328 1.1032
La 2.2172 9.8409 1.1032
La 3.4170 7.8369 4.3122
La 3.7801 2.6123 2.3587
La 4.9799 0.6083 5.5678
La 4.9799 4.6163 5.5678
La 5.8157 5.8328 2.2323
La 5.8157 9.8409 2.2323
La 7.0155 7.8369 5.6942
Cu 0.7734 7.8369 2.8000
Cu 2.8251 2.6123 6.1354
Cu 4.3719 7.8369 0.5355
Cu 6.4237 2.6123 3.8710
```

Peak list (10 most intense, 2θ from 10° to 80°, sorted by position)
d_spacing, 2θ (°), I (rel.)
3.088, 28.9, 91
3.029, 29.5, 100
2.964, 30.2, 89
2.907, 30.8, 82
2.837, 31.5, 50
2.708, 33.1, 53
2.617, 34.3, 68
1.814, 50.3, 29
1.743, 52.5, 44
1.700, 53.9, 31



# Ho5Cd2Si2
Theoretical PXRD pattern, a wavelength of 1.5418 Å. Input: a cell relaxed with GGA-PBE.
Peak positions follow from Bragg's law for the DFT cell and can differ from measured ones.

Crystal structure
```
18
Lattice="8.0654 -3.7388 0.0000 8.0654 3.7388 0.0000 0.0000 0.0000 7.4838" Properties=species:S:1:pos:R:3 pbc="T T T"
Ho 0.0000 0.0000 0.0000
Ho 6.0640 2.3688 5.0832
Ho 6.0640 1.3700 1.3413
Ho 10.0669 2.3688 5.0832
Ho 10.0669 1.3700 1.3413
Ho 8.0654 0.0000 3.7419
Ho 6.0640 -1.3700 6.1425
Ho 6.0640 -2.3688 2.4006
Ho 10.0669 -1.3700 6.1425
Ho 10.0669 -2.3688 2.4006
Cd 3.5742 0.0000 0.0000
Cd 4.4912 0.0000 3.7419
Cd 11.6396 0.0000 3.7419
Cd 12.5566 0.0000 0.0000
Si 8.0654 2.8564 2.8465
Si 8.0654 0.8824 6.5884
Si 8.0654 -0.8824 0.8954
Si 8.0654 -2.8564 4.6373
```

Peak list (10 most intense, 2θ from 10° to 80°, sorted by position)
d_spacing, 2θ (°), I (rel.)
3.345, 26.7, 23
3.277, 27.2, 23
2.841, 31.5, 24
2.754, 32.5, 27
2.742, 32.7, 100
2.645, 33.9, 35
2.574, 34.8, 33
2.341, 38.5, 38
1.547, 59.8, 19
1.429, 65.3, 17



# Cs6MoAs4
Theoretical PXRD pattern, a wavelength of 1.5418 Å. Input: a cell relaxed with GGA-PBE.
Peak positions follow from Bragg's law for the DFT cell and can differ from measured ones.

Crystal structure
```
22
Lattice="11.0880 0.0000 0.0000 -5.5440 9.6025 0.0000 0.0000 0.0000 8.9862" Properties=species:S:1:pos:R:3 pbc="T T T"
Cs -2.1903 5.1371 0.0000
Cs 0.0000 2.8136 2.8533
Cs -3.1074 8.1957 2.8533
Cs 2.4366 1.4068 7.3464
Cs 2.1903 5.1371 0.0000
Cs 0.0000 8.9308 0.0000
Cs 5.5440 0.6717 4.4931
Cs 3.3537 4.4654 4.4931
Cs 3.1074 8.1957 2.8533
Cs 8.6514 1.4068 7.3464
Cs 5.5440 6.7889 7.3464
Cs 7.7343 4.4654 4.4931
Mo 0.0000 6.4017 5.4326
Mo 5.5440 3.2008 0.9395
As 0.0000 4.0890 6.1991
As -2.0028 7.5580 6.1991
As 0.0000 6.4017 3.0079
As 3.5412 2.0445 1.7060
As 2.0028 7.5580 6.1991
As 5.5440 3.2008 7.5010
As 7.5468 2.0445 1.7060
As 5.5440 5.5135 1.7060
```

Peak list (10 most intense, 2θ from 10° to 80°, sorted by position)
d_spacing, 2θ (°), I (rel.)
4.235, 21.0, 19
4.070, 21.8, 27
3.365, 26.5, 100
3.281, 27.2, 81
3.015, 29.6, 49
2.859, 31.3, 34
2.772, 32.3, 53
1.978, 45.9, 21
1.878, 48.5, 23
1.775, 51.5, 29



# FeNi5Pd4
Theoretical PXRD pattern, a wavelength of 1.5418 Å. Input: a cell relaxed with GGA-PBE.
Peak positions follow from Bragg's law for the DFT cell and can differ from measured ones.

Crystal structure
```
10
Lattice="6.3714 -1.3103 0.0000 6.3714 1.3103 0.0000 -3.3890 0.0000 7.9698" Properties=species:S:1:pos:R:3 pbc="T T T"
Fe 0.0000 0.0000 0.0000
Ni -1.6945 0.0000 3.9849
Ni 0.7797 0.0000 6.8948
Ni 2.6995 0.0000 3.2512
Ni 6.6542 0.0000 4.7185
Ni 8.5740 0.0000 1.0749
Pd 0.3737 0.0000 2.4784
Pd 4.4990 0.0000 1.4660
Pd 4.8548 0.0000 6.5038
Pd 8.9800 0.0000 5.4914
```

Peak list (10 most intense, 2θ from 10° to 80°, sorted by position)
d_spacing, 2θ (°), I (rel.)
2.377, 37.9, 37
2.227, 40.5, 52
2.177, 41.5, 22
2.162, 41.8, 74
2.112, 42.8, 100
2.073, 43.7, 26
2.015, 45.0, 57
1.992, 45.5, 35
1.899, 47.9, 20
1.769, 51.7, 20



# TiS3O12
Theoretical PXRD pattern, a wavelength of 1.5418 Å. Input: a cell relaxed with GGA-PBE.
Peak positions follow from Bragg's law for the DFT cell and can differ from measured ones.

Crystal structure
```
32
Lattice="11.0048 0.0000 0.0000 -5.5024 9.5305 0.0000 0.0000 0.0000 4.8972" Properties=species:S:1:pos:R:3 pbc="T T T"
Ti 0.0000 6.3536 1.2243
Ti 5.5024 3.1768 3.6729
S -0.7389 4.0738 3.6729
S -1.6049 8.1335 3.6729
S 3.1586 2.6768 1.2243
S 2.3438 6.8536 3.6729
S 7.1073 1.3970 1.2243
S 6.2413 5.4566 1.2243
O -2.1919 4.0656 3.6729
O -0.1266 2.7604 3.6729
O -3.0485 8.2599 3.6729
O -0.2349 4.8420 2.4616
O -0.2349 4.8420 4.8841
O -1.1916 7.3129 2.4616
O -1.1916 7.3129 4.8841
O 2.3273 1.4899 1.2243
O -0.8856 9.3959 3.6729
O 2.4249 3.9310 1.2243
O 1.4266 6.9060 2.4616
O 1.4266 6.9060 4.8841
O 4.0759 2.6245 0.0130
O 4.0759 2.6245 2.4356
O 3.0775 5.5995 3.6729
O 6.3880 0.1346 1.2243
O 3.1752 8.0406 3.6729
O 6.6940 2.2176 0.0130
O 6.6940 2.2176 2.4356
O 5.7373 4.6884 0.0130
O 5.7373 4.6884 2.4356
O 8.5509 1.2705 1.2243
O 5.6291 6.7701 1.2243
O 7.6943 5.4649 1.2243
```

Peak list (10 most intense, 2θ from 10° to 80°, sorted by position)
d_spacing, 2θ (°), I (rel.)
5.502, 16.1, 11
4.765, 18.6, 29
3.658, 24.3, 45
3.602, 24.7, 55
3.415, 26.1, 100
2.902, 30.8, 26
2.643, 33.9, 19
1.829, 49.9, 11
1.708, 53.7, 12
1.585, 58.2, 12



# MnZnB
Theoretical PXRD pattern, a wavelength of 1.5418 Å. Input: a cell relaxed with GGA-PBE.
Peak positions follow from Bragg's law for the DFT cell and can differ from measured ones.

Crystal structure
```
12
Lattice="2.8691 0.0000 0.0000 0.0000 14.5883 0.0000 0.0000 0.0000 2.8708" Properties=species:S:1:pos:R:3 pbc="T T T"
Mn 0.0000 1.1140 0.7177
Mn 0.0000 13.4743 2.1531
Mn 1.4346 6.1801 2.1531
Mn 1.4346 8.4081 0.7177
Zn 0.0000 4.4896 0.7177
Zn 0.0000 10.0987 2.1531
Zn 1.4346 2.8045 2.1531
Zn 1.4346 11.7837 0.7177
B 0.0000 6.8009 0.7177
B 0.0000 7.7874 2.1531
B 1.4346 0.4932 2.1531
B 1.4346 14.0950 0.7177
```

Peak list (10 most intense, 2θ from 10° to 80°, sorted by position)
d_spacing, 2θ (°), I (rel.)
2.471, 36.4, 39
2.256, 40.0, 100
2.046, 44.3, 69
2.010, 45.1, 89
1.855, 49.1, 10
1.824, 50.0, 23
1.454, 64.0, 10
1.435, 65.0, 28
1.267, 75.0, 26
1.211, 79.1, 24



# LiNd3Ni8
Theoretical PXRD pattern, a wavelength of 1.5418 Å. Input: a cell relaxed with GGA-PBE.
Peak positions follow from Bragg's law for the DFT cell and can differ from measured ones.

Crystal structure
```
12
Lattice="2.5317 1.4617 8.3297 -2.5317 1.4617 8.3297 0.0000 -2.9233 8.3297" Properties=species:S:1:pos:R:3 pbc="T T T"
Li 0.0000 0.0000 0.0000
Nd 0.0000 0.0000 3.0230
Nd 0.0000 0.0000 12.6916
Nd 0.0000 0.0000 15.9167
Ni 0.0000 -1.4651 5.8950
Ni -1.2688 0.7325 5.8950
Ni -1.2523 -0.7230 9.9968
Ni 0.0000 0.0000 7.9585
Ni 1.2523 -0.7230 9.9968
Ni 0.0000 1.4460 9.9968
Ni 1.2688 0.7325 5.8950
Ni 0.0000 0.0000 20.4322
```

Peak list (10 most intense, 2θ from 10° to 80°, sorted by position)
d_spacing, 2θ (°), I (rel.)
2.769, 32.3, 13
2.544, 35.3, 29
2.532, 35.5, 32
2.171, 41.6, 36
2.162, 41.8, 100
2.069, 43.8, 28
1.381, 67.9, 16
1.379, 68.0, 14
1.272, 74.6, 13
1.266, 75.0, 16



# Ta4Te16PtI8
Theoretical PXRD pattern, a wavelength of 1.5418 Å. Input: a cell relaxed with GGA-PBE.
Peak positions follow from Bragg's law for the DFT cell and can differ from measured ones.

Crystal structure
```
29
Lattice="6.7452 0.0000 0.0000 -2.1496 10.8834 0.0000 -0.8216 -4.8283 15.4931" Properties=species:S:1:pos:R:3 pbc="T T T"
Ta -0.5062 0.6976 4.6795
Ta 0.8917 5.3685 10.8474
Ta 2.8823 0.6867 4.6457
Ta 4.2802 5.3575 10.8136
Te -0.6400 3.6276 9.1676
Te -0.7760 3.4056 12.1001
Te -0.9900 9.3660 4.0041
Te 1.1575 0.7700 2.3629
Te -0.7898 7.3407 9.5834
Te -0.7666 6.6364 12.8195
Te 1.2041 0.5462 7.0146
Te 1.1402 3.0091 5.0910
Te 2.6337 3.0460 10.4020
Te 2.5698 5.5090 8.4785
Te 4.5405 -0.5813 2.6736
Te 4.5637 -1.2855 5.9096
Te 2.6164 5.2852 13.1301
Te 4.7639 -3.3108 11.4890
Te 4.5499 2.6496 3.3930
Te 4.4139 2.4275 6.3255
Pt 1.8870 3.0276 7.7465
I -0.8052 6.9117 6.7498
I -0.8155 4.0359 15.0834
I 1.1525 4.2066 2.2355
I 1.5003 -1.3846 12.4770
I 2.2737 7.4398 3.0160
I 2.6215 1.8485 13.2576
I 4.5895 2.0192 0.4096
I 4.5791 -0.8565 8.7433
```

Peak list (10 most intense, 2θ from 10° to 80°, sorted by position)
d_spacing, 2θ (°), I (rel.)
7.747, 11.4, 76
7.642, 11.6, 100
7.345, 12.0, 88
3.288, 27.1, 56
2.931, 30.5, 42
2.855, 31.3, 59
2.809, 31.9, 51
2.697, 33.2, 48
2.681, 33.4, 41
2.500, 35.9, 57



# Ce8Ge4Pb3
Theoretical PXRD pattern, a wavelength of 1.5418 Å. Input: a cell relaxed with GGA-PBE.
Peak positions follow from Bragg's law for the DFT cell and can differ from measured ones.

Crystal structure
```
15
Lattice="6.1945 -6.1994 0.0000 6.1945 6.1994 0.0000 -6.0484 0.0000 6.2094" Properties=species:S:1:pos:R:3 pbc="T T T"
Ce -0.0417 0.0000 2.9780
Ce -3.0483 0.0000 6.1051
Ce 6.1945 3.2037 0.0000
Ce 3.1703 3.1954 3.1047
Ce 6.1945 -3.2037 0.0000
Ce 3.1703 -3.1954 3.1047
Ce 9.3888 0.0000 0.1043
Ce 6.3822 0.0000 3.2314
Ge 0.0000 0.0000 0.0000
Ge -3.0242 0.0000 3.1047
Ge 3.0972 3.0997 0.0000
Ge 3.0972 -3.0997 0.0000
Pb 0.0730 3.0997 3.1047
Pb 0.0730 -3.0997 3.1047
Pb 3.1703 0.0000 3.1047
```

Peak list (10 most intense, 2θ from 10° to 80°, sorted by position)
d_spacing, 2θ (°), I (rel.)
6.208, 14.3, 10
3.100, 28.8, 100
2.219, 40.7, 13
2.192, 41.2, 50
2.167, 41.7, 13
1.804, 50.6, 13
1.776, 51.5, 13
1.549, 59.7, 8
1.387, 67.5, 11
1.385, 67.6, 11